For Ti3SO5, the PBE geometry in Alexandria gives the calculated PXRD pattern in this record (Cu Kα (weighted mean of Kα1 and Kα2)).
No peak broadening, texture or thermal motion is included.

Structure:
```
data_Ti3SO5
_chemical_formula_sum 'Ti12 S4 O20'
_space_group_name_H-M_alt 'C 1 2/m 1'
_space_group_IT_number 12
_cell_length_a 9.959
_cell_length_b 6.433
_cell_length_c 8.754
_cell_angle_alpha 90.00
_cell_angle_beta 122.83
_cell_angle_gamma 90.00
loop_
_space_group_symop_operation_xyz
'x,y,z'
'-x,-y,-z'
'-x,y,-z'
'x,-y,z'
'x+1/2,y+1/2,z'
'-x+1/2,-y+1/2,-z'
'-x+1/2,y+1/2,-z'
'x+1/2,-y+1/2,z'
loop_
_atom_site_label
_atom_site_type_symbol
_atom_site_fract_x
_atom_site_fract_y
_atom_site_fract_z
Ti1 Ti 0.000 0.000 0.000
Ti2 Ti 0.000 0.000 0.500
Ti3 Ti 0.136 0.500 0.209
Ti4 Ti 0.162 0.500 0.699
S1 S 0.099 0.000 0.308
O1 O 0.000 0.316 0.000
O2 O 0.052 0.500 0.352
O3 O 0.173 0.193 0.668
O4 O 0.219 0.000 0.065
```

The 10 most intense peaks (2θ from 10° to 90°), by intensity:
2θ (°), Rel. int., h k l
27.7, 100, 0 2 0
21.9, 91, 2 0 -2
34.5, 37, 1 1 2
35.1, 28, 3 1 0
44.1, 27, 3 1 -4
53.5, 24, 1 3 2
46.6, 22, 1 1 -4
41.1, 21, 2 2 1
48.1, 21, 5 1 -2
57.3, 20, 0 4 0

=====

For RePt, the PBE geometry in Alexandria gives the calculated PXRD pattern in this record (Cu Kα (weighted mean of Kα1 and Kα2)).
No peak broadening, texture or thermal motion is included.

Structure:
```
data_RePt
_chemical_formula_sum 'Re2 Pt2'
_space_group_name_H-M_alt 'P -3 m 1'
_space_group_IT_number 164
_space_group_name_Hall '-P 3 2"'
_cell_length_a 2.8028
_cell_length_b 2.8028
_cell_length_c 8.9868
_cell_angle_alpha 90.00
_cell_angle_beta 90.00
_cell_angle_gamma 120.00
loop_
_atom_site_label
_atom_site_type_symbol
_atom_site_fract_x
_atom_site_fract_y
_atom_site_fract_z
Re1 Re 0.3333 0.6667 0.3833
Pt1 Pt 0.3333 0.6667 0.8651
```

The 10 most intense peaks (2θ from 10° to 90°), by intensity:
2θ (°), Rel. int., h k l
42.3, 100, 1 0 2
40.1, 25, 0 0 4
37.0, 24, 1 0 0
80.8, 20, 1 1 4
66.7, 18, 1 1 0
74.4, 17, 1 0 6
82.3, 15, 0 2 2
55.8, 14, 0 1 4
78.9, 3, 2 0 0
86.7, 2, 0 0 8